Fe4O5F3: simulated powder X-ray diffraction pattern (Cu Ka), based on a DFT-relaxed cell (PBE+U, Alexandria).

The 8 most intense peaks (10 to 90 degrees two-theta), low angle first:
two_theta  I/Imax  index
25.0  100  0 0 2
28.1  84  0 2 0
35.4  85  2 1 1
38.0  19  0 2 2
51.1  60  2 1 3
51.3  15  0 0 4
54.6  46  2 3 1
66.9  38  2 3 3

Crystal structure
```
24
Lattice="6.008 0.000 0.000 0.000 6.353 0.000 0.000 0.000 7.118" Properties=species:S:1:pos:R:3 pbc="T T T"
Fe 0.053 1.588 1.702
Fe 1.502 1.588 5.544
Fe 1.502 4.764 1.836
Fe 2.951 1.588 1.702
Fe 3.057 4.764 5.416
Fe 4.506 1.588 5.281
Fe 4.506 4.764 1.574
Fe 5.955 4.764 5.416
O 0.023 0.371 5.337
O 0.023 2.805 5.337
O 1.502 1.588 0.443
O 2.981 0.371 5.337
O 2.981 2.805 5.337
O 3.027 3.547 1.781
O 3.027 5.982 1.781
O 4.506 4.764 6.674
O 5.985 3.547 1.781
O 5.985 5.982 1.781
F 1.502 1.588 3.111
F 1.502 4.764 4.065
F 1.502 4.764 6.708
F 4.506 1.588 0.410
F 4.506 1.588 3.053
F 4.506 4.764 4.007
```